No. 1
The following is a theoretical PXRD pattern of Dy3SnSb. It was derived from DFT lattice parameters and positions (PBE), using CuKα.
Kinematic intensities with the Lorentz-polarization factor, no thermal factor.

Top 12 peaks for 15° ≤ 2θ ≤ 90°, most intense first:
33.84 deg, I 100, hkl 5 1 -1
33.41 deg, I 75, hkl 3 1 2
19.78 deg, I 49, hkl 1 1 0
38.68 deg, I 41, hkl 0 2 0
24.14 deg, I 31, hkl 2 0 2
28.67 deg, I 28, hkl 1 1 -2
32.62 deg, I 27, hkl 2 0 -3
51.52 deg, I 26, hkl 2 2 -3
39.63 deg, I 26, hkl 3 1 -3
32.77 deg, I 19, hkl 6 0 -1
29.22 deg, I 18, hkl 1 1 2
44.94 deg, I 18, hkl 8 0 1

Cell and atoms:
Unit cell a=16.9473 b=4.6551 c=8.5171 alpha=90.00 beta=94.10 gamma=90.00
Space group C2/m (No. 12)
Symmetry-distinct sites (fractional):
Dy 0.0382 0.0000 0.2635 x4
Dy 0.1728 0.0000 0.9476 x4
Dy 0.2390 0.5000 0.6508 x4
Sn 0.1520 0.5000 0.1833 x4
Sb 0.1195 0.0000 0.5922 x4

=====

No. 2
The following is a theoretical PXRD pattern of Dy5Sn2Sb2. It was derived from DFT lattice parameters and positions (PBE), using CuKα.
Kinematic intensities with the Lorentz-polarization factor, no thermal factor.

Top 12 peaks for 15° ≤ 2θ ≤ 90°, most intense first:
30.05 deg, I 100, hkl 3 1 2
33.89 deg, I 87, hkl 4 2 1
31.98 deg, I 66, hkl 4 2 0
35.41 deg, I 64, hkl 1 3 1
35.28 deg, I 63, hkl 1 1 3
31.07 deg, I 41, hkl 0 2 2
64.37 deg, I 36, hkl 7 3 3
32.95 deg, I 31, hkl 5 1 1
38.23 deg, I 24, hkl 5 1 2
46.00 deg, I 24, hkl 0 4 1
34.92 deg, I 24, hkl 6 0 0
27.11 deg, I 22, hkl 2 2 1

Cell and atoms:
Unit cell a=15.4184 b=8.1235 c=8.1601 alpha=90.00 beta=90.00 gamma=90.00
Space group Cmce (No. 64)
Symmetry-distinct sites (fractional):
Dy 0.0000 0.0000 0.0000 x4
Dy 0.1353 0.1665 0.3362 x16
Sn 0.0000 0.1357 0.6357 x8
Sb 0.2026 0.0000 0.0000 x8

=====

No. 3
The following is a theoretical PXRD pattern of Dy8Sn2Sb. It was derived from DFT lattice parameters and positions (PBE), using CuKα.
Kinematic intensities with the Lorentz-polarization factor, no thermal factor.

Top 12 peaks for 15° ≤ 2θ ≤ 90°, most intense first:
31.61 deg, I 100, hkl 1 1 -2
36.26 deg, I 69, hkl 0 2 0
33.36 deg, I 48, hkl 6 0 1
29.34 deg, I 47, hkl 5 1 0
37.17 deg, I 34, hkl 7 1 -1
27.79 deg, I 33, hkl 3 1 1
34.36 deg, I 22, hkl 5 1 1
30.06 deg, I 20, hkl 5 1 -1
61.62 deg, I 18, hkl 7 1 3
32.64 deg, I 18, hkl 3 1 -2
28.01 deg, I 17, hkl 6 0 -1
50.13 deg, I 15, hkl 6 2 1

Cell and atoms:
Unit cell a=19.7696 b=4.9532 c=6.9050 alpha=90.00 beta=102.65 gamma=90.00
Space group C2/m (No. 12)
Symmetry-distinct sites (fractional):
Dy 0.0254 0.0000 0.2630 x4
Dy 0.0940 0.5000 0.9814 x4
Dy 0.1584 0.5000 0.5099 x4
Dy 0.2187 0.0000 0.8329 x4
Sn 0.1827 0.0000 0.2635 x4
Sb 0.0000 0.5000 0.5000 x2

=====

No. 4
The following is a theoretical PXRD pattern of Tb5DySb4. It was derived from DFT lattice parameters and positions (PBE), using CuKα.
Kinematic intensities with the Lorentz-polarization factor, no thermal factor.

Top 12 peaks for 15° ≤ 2θ ≤ 90°, most intense first:
29.62 deg, I 100, hkl 1 1 -2
29.78 deg, I 47, hkl 6 0 0
41.77 deg, I 39, hkl 7 1 -2
43.22 deg, I 33, hkl 5 1 2
41.88 deg, I 20, hkl 0 2 0
52.23 deg, I 20, hkl 6 2 0
42.89 deg, I 18, hkl 2 0 -4
69.01 deg, I 17, hkl 1 3 -2
25.43 deg, I 15, hkl 3 1 0
61.50 deg, I 12, hkl 2 2 -4
77.46 deg, I 11, hkl 5 3 2
51.86 deg, I 11, hkl 8 0 -4

Cell and atoms:
Unit cell a=18.6949 b=4.3138 c=8.4426 alpha=90.00 beta=105.63 gamma=90.00
Space group C2/m (No. 12)
Symmetry-distinct sites (fractional):
Tb 0.0000 0.0000 0.0000 x2
Tb 0.1633 0.5000 0.3239 x4
Tb 0.1771 0.5000 0.8501 x4
Dy 0.0000 0.0000 0.5000 x2
Sb 0.0075 0.5000 0.7565 x4
Sb 0.1692 0.0000 0.5874 x4

=====

No. 5
The following is a theoretical PXRD pattern of Tb2DySb2. It was derived from DFT lattice parameters and positions (PBE), using CuKα.
Kinematic intensities with the Lorentz-polarization factor, no thermal factor.

Top 12 peaks for 15° ≤ 2θ ≤ 90°, most intense first:
30.31 deg, I 100, hkl 2 0 -2
34.00 deg, I 75, hkl 3 3 -1
29.91 deg, I 64, hkl 0 4 0
31.26 deg, I 51, hkl 3 1 0
33.78 deg, I 43, hkl 1 3 1
43.10 deg, I 42, hkl 2 4 -2
35.11 deg, I 38, hkl 0 4 1
37.12 deg, I 34, hkl 2 2 1
26.41 deg, I 29, hkl 3 1 -1
37.43 deg, I 28, hkl 4 2 -1
20.08 deg, I 26, hkl 2 0 0
56.39 deg, I 22, hkl 5 3 -3

Cell and atoms:
Unit cell a=10.5708 b=11.9502 c=5.8984 alpha=90.00 beta=123.23 gamma=90.00
Space group C2/c (No. 15)
Symmetry-distinct sites (fractional):
Tb 0.1782 0.0974 0.3881 x8
Dy 0.0000 0.4017 0.7500 x4
Sb 0.0000 0.1304 0.7500 x4
Sb 0.0000 0.3285 0.2500 x4

=====

No. 6
The following is a theoretical PXRD pattern of Tb2Dy3YSb6. It was derived from DFT lattice parameters and positions (PBE), using CuKα.
Kinematic intensities with the Lorentz-polarization factor, no thermal factor.

Top 9 peaks for 15° ≤ 2θ ≤ 90°, most intense first:
28.75 deg, I 100, hkl 6 0 0
41.10 deg, I 76, hkl 5 1 2
67.43 deg, I 35, hkl 11 1 2
50.93 deg, I 27, hkl 6 2 0
74.90 deg, I 26, hkl 12 2 0
59.53 deg, I 13, hkl 12 0 0
89.20 deg, I 9, hkl 10 2 4
24.83 deg, I 2, hkl 3 1 0
48.62 deg, I 1, hkl 9 1 0

Cell and atoms:
Unit cell a=19.1415 b=4.3916 c=8.7839 alpha=90.00 beta=103.21 gamma=90.00
Space group C2/m (No. 12)
Symmetry-distinct sites (fractional):
Tb 0.1666 0.0000 0.3330 x4
Dy 0.0000 0.5000 0.5000 x2
Dy 0.1667 0.0000 0.8332 x4
Y 0.0000 0.5000 0.0000 x2
Sb 0.9997 0.0000 0.2502 x4
Sb 0.1664 0.5000 0.5838 x4
Sb 0.1668 0.5000 0.0824 x4